Computed XRD peak list
Compound: Cu4S2Cl
Radiation: Cu Kα, 1.54184 Å
Structure: DFT lattice parameters and positions (GGA-PBE)
No peak broadening, texture or thermal motion is included.

Crystal structure
```
data_Cu4S2Cl
_chemical_formula_sum 'Cu16 S8 Cl4'
_symmetry_space_group_name_H-M 'P b c m'
_symmetry_Int_Tables_number 57
_cell_length_a 3.5493
_cell_length_b 13.3687
_cell_length_c 10.6399
_cell_angle_alpha 90.00
_cell_angle_beta 90.00
_cell_angle_gamma 90.00
loop_
_symmetry_equiv_pos_as_xyz
'x,y,z'
'-x,-y,-z'
'-x,-y,z+1/2'
'x,y,-z+1/2'
'x,-y+1/2,-z'
'-x,y+1/2,z'
'-x,y+1/2,-z+1/2'
'x,-y+1/2,z+1/2'
loop_
_atom_site_label
_atom_site_fract_x
_atom_site_fract_y
_atom_site_fract_z
Cu1 0.0042 0.2500 0.0000
Cu2 0.4160 0.5194 0.1107
Cu3 0.4927 0.6364 0.7500
S1 0.4986 0.6431 0.5473
Cl1 0.0189 0.6003 0.2500
```

Principal peaks in the range 2θ = 5–70°, in order of rising 2θ:
- d = 3.549 Å, 2θ = 25.09°, rel. 66, hkl 1 0 0
- d = 3.189 Å, 2θ = 27.98°, rel. 36, hkl 0 4 1
- d = 3.135 Å, 2θ = 28.47°, rel. 92, hkl 1 2 0
- d = 3.007 Å, 2θ = 29.71°, rel. 79, hkl 1 2 1
- d = 2.830 Å, 2θ = 31.62°, rel. 59, hkl 0 4 2
- d = 2.701 Å, 2θ = 33.17°, rel. 53, hkl 1 2 2
- d = 2.471 Å, 2θ = 36.36°, rel. 100, hkl 0 2 4
- d = 1.887 Å, 2θ = 48.23°, rel. 65, hkl 1 6 0
- d = 1.858 Å, 2θ = 49.03°, rel. 39, hkl 1 6 1
- d = 1.795 Å, 2θ = 50.86°, rel. 83, hkl 1 4 4
- d = 1.774 Å, 2θ = 51.50°, rel. 39, hkl 2 0 0
- d = 1.761 Å, 2θ = 51.94°, rel. 43, hkl 1 2 5



Computed XRD peak list
Compound: Cu4S2Cl3
Radiation: Cu Kα, 1.54184 Å
Structure: DFT lattice parameters and positions (GGA-PBE)
No peak broadening, texture or thermal motion is included.

Crystal structure
```
data_Cu4S2Cl3
_chemical_formula_sum 'Cu8 S4 Cl6'
_symmetry_space_group_name_H-M 'C 1 2/m 1'
_symmetry_Int_Tables_number 12
_cell_length_a 13.0541
_cell_length_b 3.3296
_cell_length_c 8.5589
_cell_angle_alpha 90.00
_cell_angle_beta 107.80
_cell_angle_gamma 90.00
loop_
_symmetry_equiv_pos_as_xyz
'x,y,z'
'-x,-y,-z'
'-x,y,-z'
'x,-y,z'
'x+1/2,y+1/2,z'
'-x+1/2,-y+1/2,-z'
'-x+1/2,y+1/2,-z'
'x+1/2,-y+1/2,z'
loop_
_atom_site_label
_atom_site_fract_x
_atom_site_fract_y
_atom_site_fract_z
Cu1 0.1488 0.0000 0.0419
Cu2 0.1749 0.5000 0.6330
S1 0.2200 0.0000 0.8271
Cl1 0.0000 0.5000 0.0000
Cl2 0.1189 0.0000 0.4403
```

Principal peaks in the range 2θ = 5–70°, in order of rising 2θ:
- d = 6.215 Å, 2θ = 14.25°, rel. 100, hkl 2 0 0
- d = 4.075 Å, 2θ = 21.81°, rel. 46, hkl 0 0 2
- d = 4.017 Å, 2θ = 22.13°, rel. 43, hkl 2 0 -2
- d = 3.253 Å, 2θ = 27.42°, rel. 29, hkl 4 0 -1
- d = 2.942 Å, 2θ = 30.38°, rel. 60, hkl 4 0 -2
- d = 2.623 Å, 2θ = 34.18°, rel. 38, hkl 3 1 -1
- d = 2.433 Å, 2θ = 36.95°, rel. 46, hkl 1 1 2
- d = 2.346 Å, 2θ = 38.36°, rel. 71, hkl 3 1 1
- d = 1.999 Å, 2θ = 45.37°, rel. 34, hkl 1 1 3
- d = 1.835 Å, 2θ = 49.70°, rel. 65, hkl 5 1 -3
- d = 1.776 Å, 2θ = 51.45°, rel. 28, hkl 3 1 -4
- d = 1.448 Å, 2θ = 64.33°, rel. 27, hkl 6 0 3



Computed XRD peak list
Compound: CuS4Cl
Radiation: Cu Kα, 1.54184 Å
Structure: DFT lattice parameters and positions (GGA-PBE)
No peak broadening, texture or thermal motion is included.

Crystal structure
```
data_CuS4Cl
_chemical_formula_sum 'Cu2 S8 Cl2'
_symmetry_space_group_name_H-M 'P -1'
_symmetry_Int_Tables_number 2
_cell_length_a 4.7961
_cell_length_b 5.6838
_cell_length_c 11.6507
_cell_angle_alpha 85.47
_cell_angle_beta 85.59
_cell_angle_gamma 76.59
loop_
_symmetry_equiv_pos_as_xyz
'x,y,z'
'-x,-y,-z'
loop_
_atom_site_label
_atom_site_fract_x
_atom_site_fract_y
_atom_site_fract_z
Cu1 0.2423 0.2515 0.0707
S1 0.0196 0.6611 0.0882
S2 0.0972 0.3707 0.5692
S3 0.1072 0.8918 0.4280
S4 0.3304 0.8327 0.1009
Cl1 0.4414 0.7773 0.7961
```

Principal peaks in the range 2θ = 5–70°, in order of rising 2θ:
- d = 11.593 Å, 2θ = 7.63°, rel. 100, hkl 0 0 1
- d = 5.797 Å, 2θ = 15.29°, rel. 35, hkl 0 0 2
- d = 4.415 Å, 2θ = 20.11°, rel. 17, hkl 1 0 1
- d = 3.703 Å, 2θ = 24.03°, rel. 15, hkl 1 1 -1
- d = 3.528 Å, 2θ = 25.25°, rel. 36, hkl 1 0 -2
- d = 3.099 Å, 2θ = 28.81°, rel. 11, hkl -1 1 1
- d = 3.069 Å, 2θ = 29.09°, rel. 14, hkl 1 0 3
- d = 2.891 Å, 2θ = 30.93°, rel. 17, hkl 1 0 -3
- d = 2.759 Å, 2θ = 32.45°, rel. 13, hkl 0 2 0
- d = 2.650 Å, 2θ = 33.83°, rel. 12, hkl 0 2 -1
- d = 2.530 Å, 2θ = 35.48°, rel. 11, hkl 1 0 4
- d = 1.907 Å, 2θ = 47.69°, rel. 13, hkl 2 1 4



Computed XRD peak list
Compound: Cu2TeS2Cl
Radiation: Cu Kα, 1.54184 Å
Structure: DFT lattice parameters and positions (GGA-PBE)
No peak broadening, texture or thermal motion is included.

Crystal structure
```
data_Cu2TeS2Cl
_chemical_formula_sum 'Cu4 Te2 S4 Cl2'
_symmetry_space_group_name_H-M 'P 1 21/m 1'
_symmetry_Int_Tables_number 11
_cell_length_a 6.2800
_cell_length_b 6.2331
_cell_length_c 8.4692
_cell_angle_alpha 90.00
_cell_angle_beta 108.31
_cell_angle_gamma 90.00
loop_
_symmetry_equiv_pos_as_xyz
'x,y,z'
'-x,-y,-z'
'-x,y+1/2,-z'
'x,-y+1/2,z'
loop_
_atom_site_label
_atom_site_fract_x
_atom_site_fract_y
_atom_site_fract_z
Cu1 0.0394 0.0387 0.2401
Te1 0.3906 0.2500 0.6457
S1 0.0057 0.7500 0.3771
S2 0.3492 0.2500 0.3566
Cl1 0.1876 0.7500 0.9676
```

Principal peaks in the range 2θ = 5–70°, in order of rising 2θ:
- d = 8.040 Å, 2θ = 11.00°, rel. 41, hkl 0 0 1
- d = 4.308 Å, 2θ = 20.62°, rel. 21, hkl 1 1 0
- d = 4.215 Å, 2θ = 21.08°, rel. 100, hkl 1 1 -1
- d = 4.020 Å, 2θ = 22.11°, rel. 28, hkl 0 0 2
- d = 3.378 Å, 2θ = 26.38°, rel. 35, hkl 0 1 2
- d = 2.863 Å, 2θ = 31.24°, rel. 33, hkl 2 0 -2
- d = 2.797 Å, 2θ = 32.00°, rel. 26, hkl 1 0 -3
- d = 2.762 Å, 2θ = 32.42°, rel. 37, hkl 1 2 0
- d = 2.689 Å, 2θ = 33.32°, rel. 27, hkl 2 1 0
- d = 2.548 Å, 2θ = 35.23°, rel. 20, hkl 2 0 1
- d = 2.449 Å, 2θ = 36.70°, rel. 28, hkl 1 2 -2
- d = 1.734 Å, 2θ = 52.80°, rel. 29, hkl 3 2 -1